# Na2TmSi3Au12
Computed PXRD pattern, Cu Kα X-rays. Input: a DFT-relaxed cell (GGA-PBE, Alexandria).

Top 10 peaks for 2θ from 15° to 90°, in order of rising 2θ:
- d = 4.529 Å, rel. 28, hkl 1 1 0
- d = 3.538 Å, rel. 33, hkl 2 0 2
- d = 2.833 Å, rel. 33, hkl 0 2 4
- d = 2.788 Å, rel. 76, hkl 1 2 2
- d = 2.731 Å, rel. 49, hkl 0 0 6
- d = 2.515 Å, rel. 29, hkl 2 0 5
- d = 2.402 Å, rel. 46, hkl 2 1 4
- d = 2.264 Å, rel. 100, hkl 2 2 0
- d = 1.743 Å, rel. 60, hkl 2 2 6
- d = 1.541 Å, rel. 21, hkl 5 0 2

Atomic structure:
Unit cell a=9.0579 b=9.0579 c=16.3847 alpha=90.00 beta=90.00 gamma=120.00
Space group R-3m (No. 166, hexagonal axes)
Unique sites:
Na 0.0000 0.0000 0.0851 x6
Tm 0.0000 0.0000 0.5000 x3
Si 0.0000 0.5000 0.0000 x9
Au 0.0348 0.5174 0.8522 x18
Au 0.0362 0.5181 0.3218 x18



# NaZn2SiAu5
Computed PXRD pattern, Cu Kα X-rays. Input: a DFT-relaxed cell (GGA-PBE, Alexandria).

Top 10 peaks for 2θ from 15° to 90°, in order of rising 2θ:
- d = 5.229 Å, rel. 26, hkl 0 1 1
- d = 3.324 Å, rel. 100, hkl 1 0 3
- d = 2.395 Å, rel. 70, hkl 1 2 1
- d = 2.392 Å, rel. 44, hkl 2 0 0
- d = 2.312 Å, rel. 28, hkl 0 0 6
- d = 2.189 Å, rel. 39, hkl 0 2 4
- d = 2.152 Å, rel. 44, hkl 1 2 3
- d = 1.662 Å, rel. 20, hkl 2 0 6
- d = 1.615 Å, rel. 30, hkl 2 2 4
- d = 1.536 Å, rel. 26, hkl 1 2 7

Atomic structure:
Unit cell a=4.783 b=5.646 c=13.869 alpha=90.00 beta=90.00 gamma=90.00
Space group Immm (No. 71)
Unique sites:
Na 0.000 0.000 0.000 x2
Zn 0.000 0.500 0.190 x4
Si 0.000 0.000 0.500 x2
Au 0.000 0.256 0.350 x8
Au 0.000 0.500 0.000 x2



# Na2Sn5Au
Computed PXRD pattern, Cu Kα X-rays. Input: a DFT-relaxed cell (GGA-PBE, Alexandria).

Top 10 peaks for 2θ from 15° to 90°, in order of rising 2θ:
- d = 5.401 Å, rel. 30, hkl 0 0 1
- d = 4.639 Å, rel. 34, hkl 1 1 -1
- d = 3.364 Å, rel. 22, hkl 3 1 -1
- d = 3.241 Å, rel. 27, hkl 2 0 -2
- d = 2.791 Å, rel. 32, hkl 1 1 -2
- d = 2.746 Å, rel. 100, hkl 2 2 0
- d = 2.700 Å, rel. 38, hkl 4 0 -2
- d = 2.443 Å, rel. 34, hkl 4 0 0
- d = 2.319 Å, rel. 25, hkl 2 2 -2
- d = 2.095 Å, rel. 33, hkl 0 2 2

Atomic structure:
Unit cell a=11.719 b=6.642 c=6.481 alpha=90.00 beta=123.52 gamma=90.00
Space group Cm (No. 8)
Unique sites:
Na 0.000 0.000 0.000 x2
Na 0.000 0.500 0.343 x2
Sn 0.001 0.000 0.491 x2
Sn 0.234 0.261 0.975 x4
Sn 0.266 0.240 0.506 x4
Au 0.000 0.500 0.815 x2



# NaSnAu6
Computed PXRD pattern, Cu Kα X-rays. Input: a DFT-relaxed cell (GGA-PBE, Alexandria).

Top 10 peaks for 2θ from 15° to 90°, in order of rising 2θ:
- d = 3.819 Å, rel. 16, hkl 1 1 0
- d = 2.700 Å, rel. 16, hkl 2 0 0
- d = 2.415 Å, rel. 100, hkl 2 0 1
- d = 2.205 Å, rel. 36, hkl 2 1 1
- d = 1.559 Å, rel. 15, hkl 2 2 2
- d = 1.498 Å, rel. 23, hkl 3 2 0
- d = 1.443 Å, rel. 19, hkl 3 1 2
- d = 1.350 Å, rel. 11, hkl 4 0 0
- d = 1.208 Å, rel. 5, hkl 4 2 0
- d = 1.178 Å, rel. 22, hkl 4 1 2

Atomic structure:
Unit cell a=5.400 b=5.400 c=5.400 alpha=90.00 beta=90.00 gamma=90.00
Space group Pm-3 (No. 200)
Unique sites:
Na 0.000 0.000 0.000 x1
Sn 0.500 0.500 0.500 x1
Au 0.000 0.249 0.500 x6